# 1
Computed X-ray powder pattern of Cr5NiS8 for a wavelength of 1.5418 Å, from a structure optimized by DFT (GGA-PBE).
Peak positions follow from Bragg's law for the DFT cell and can differ from measured ones.

a b c (Å): 6.0013 3.4372 11.0461
angles (deg): 90.00 91.29 90.00
Space group P2/m (No. 10)
Symmetry-distinct sites (fractional):
Cr 0.0000 0.0000 0.0000 x1
Cr 0.0157 0.0000 0.7284 x2
Cr 0.4838 0.5000 0.7559 x2
Ni 0.5000 0.5000 0.5000 x1
S 0.1566 0.5000 0.1333 x2
S 0.1755 0.5000 0.6191 x2
S 0.3227 0.0000 0.8729 x2
S 0.3437 0.0000 0.3686 x2

Top 12 peaks for 2θ from 10° to 90°, sorted by position:
index, 2θ (°), I/Imax
0 0 2, 16.1, 38
1 0 1, 17.0, 52
1 1 0, 30.0, 59
1 1 -2, 34.0, 100
2 0 2, 34.3, 71
0 1 3, 35.7, 32
2 0 -4, 44.1, 41
1 1 -4, 44.5, 95
1 1 4, 45.0, 86
2 0 4, 45.1, 49
3 1 0, 53.0, 88
0 2 0, 53.3, 45

# 2
Computed X-ray powder pattern of CrNi2S for a wavelength of 1.5418 Å, from a structure optimized by DFT (GGA-PBE).
Peak positions follow from Bragg's law for the DFT cell and can differ from measured ones.

a b c (Å): 6.4824 6.4824 4.6063
angles (deg): 90.00 90.00 90.00
Space group I-42d (No. 122)
Symmetry-distinct sites (fractional):
Cr 0.0000 0.0000 0.0000 x4
Ni 0.2073 0.2500 0.6250 x8
S 0.0000 0.0000 0.5000 x4

Top 12 peaks for 2θ from 10° to 90°, sorted by position:
index, 2θ (°), I/Imax
2 0 0, 27.5, 7
2 1 1, 36.6, 27
2 2 0, 39.3, 100
1 1 2, 44.0, 84
3 0 1, 46.4, 12
3 2 1, 54.8, 8
4 0 0, 56.8, 26
3 1 2, 60.5, 49
4 1 1, 62.4, 8
3 3 2, 74.5, 10
4 3 1, 76.3, 10
5 1 2, 87.7, 12

# 3
Computed X-ray powder pattern of Cr5NiS8 for a wavelength of 1.5418 Å, from a structure optimized by DFT (GGA-PBE).
Peak positions follow from Bragg's law for the DFT cell and can differ from measured ones.

a b c (Å): 6.4922 6.5874 6.8823
angles (deg): 105.02 105.54 115.96
Space group P-1 (No. 2)
Symmetry-distinct sites (fractional):
Cr 0.0000 0.0000 0.0000 x1
Cr 0.2438 0.7227 0.4953 x2
Cr 0.2539 0.7188 0.9897 x2
Ni 0.0000 0.0000 0.5000 x1
S 0.1972 0.4485 0.1638 x2
S 0.2008 0.4453 0.6600 x2
S 0.2875 0.0250 0.8294 x2
S 0.2913 0.0229 0.3266 x2

Top 12 peaks for 2θ from 10° to 90°, sorted by position:
index, 2θ (°), I/Imax
1 -1 0, 16.0, 40
1 0 0, 16.9, 53
1 1 0, 29.7, 29
1 1 -2, 29.9, 60
0 2 -2, 33.9, 100
2 0 0, 34.2, 71
1 -3 0, 44.0, 40
-2 2 2, 44.4, 98
-3 1 2, 44.8, 43
3 -1 0, 44.9, 94
1 1 2, 52.8, 89
1 1 -4, 53.2, 45

# 4
Computed X-ray powder pattern of V2Cr2NiS6 for a wavelength of 1.5418 Å, from a structure optimized by DFT (GGA-PBE).
Peak positions follow from Bragg's law for the DFT cell and can differ from measured ones.

a b c (Å): 5.9187 10.8395 5.9920
angles (deg): 90.00 108.09 90.00
Space group C2/m (No. 12)
Symmetry-distinct sites (fractional):
V 0.0000 0.1448 0.0000 x4
Cr 0.0000 0.3334 0.5000 x4
Ni 0.0000 0.5000 0.0000 x2
S 0.2229 0.5000 0.7553 x4
S 0.2399 0.3119 0.2404 x8

Top 12 peaks for 2θ from 10° to 90°, sorted by position:
index, 2θ (°), I/Imax
0 0 1, 15.6, 10
1 1 0, 17.8, 15
1 1 -1, 20.2, 10
0 2 1, 22.6, 14
1 3 1, 35.7, 100
2 0 -2, 37.3, 47
0 6 0, 50.5, 13
2 0 2, 52.3, 46
3 3 -1, 52.9, 28
2 6 -2, 64.5, 12
0 0 4, 65.6, 9
3 3 3, 88.0, 11

# 5
Computed X-ray powder pattern of CrNi3Sb4 for a wavelength of 1.5418 Å, from a structure optimized by DFT (GGA-PBE).
Peak positions follow from Bragg's law for the DFT cell and can differ from measured ones.

a b c (Å): 4.0057 4.0057 10.5395
angles (deg): 90.00 90.00 120.00
Space group P-3m1 (No. 164)
Symmetry-distinct sites (fractional):
Cr 0.0000 0.0000 0.0000 x1
Ni 0.0000 0.0000 0.2543 x2
Ni 0.0000 0.0000 0.5000 x1
Sb 0.3333 0.6667 0.1393 x2
Sb 0.3333 0.6667 0.6206 x2

Top 12 peaks for 2θ from 10° to 90°, sorted by position:
index, 2θ (°), I/Imax
0 1 2, 30.9, 100
1 0 4, 43.1, 54
1 1 0, 45.3, 53
2 0 2, 55.8, 18
1 1 4, 57.8, 5
0 1 6, 58.9, 14
0 2 4, 64.3, 15
1 2 2, 74.6, 15
2 0 6, 77.3, 6
2 1 4, 82.1, 15
3 0 0, 83.6, 8
1 1 8, 88.9, 12

# 6
Computed X-ray powder pattern of CrNi7Sn2Sb2 for a wavelength of 1.5418 Å, from a structure optimized by DFT (GGA-PBE).
Peak positions follow from Bragg's law for the DFT cell and can differ from measured ones.

a b c (Å): 3.5794 3.5794 30.9754
angles (deg): 90.00 90.00 90.00
Space group I4/mmm (No. 139)
Symmetry-distinct sites (fractional):
Cr 0.0000 0.0000 0.0000 x2
Ni 0.0000 0.0000 0.3045 x4
Ni 0.0000 0.0000 0.5000 x2
Ni 0.0000 0.5000 0.0564 x8
Sn 0.0000 0.0000 0.2152 x4
Sb 0.0000 0.0000 0.3850 x4

Top 12 peaks for 2θ from 10° to 90°, sorted by position:
index, 2θ (°), I/Imax
1 0 1, 25.0, 31
1 0 5, 28.8, 67
1 0 7, 32.2, 29
0 0 12, 34.8, 21
1 1 0, 35.5, 41
1 1 2, 36.0, 49
1 1 8, 42.7, 37
1 0 13, 45.7, 32
1 1 10, 46.3, 100
2 0 0, 51.0, 63
2 1 5, 59.7, 22
2 2 0, 75.1, 19

# 7
Computed X-ray powder pattern of ScCrNi for a wavelength of 1.5418 Å, from a structure optimized by DFT (GGA-PBE).
Peak positions follow from Bragg's law for the DFT cell and can differ from measured ones.

a b c (Å): 4.1378 4.1378 3.2354
angles (deg): 90.00 90.00 120.00
Space group P-6m2 (No. 187)
Symmetry-distinct sites (fractional):
Sc 0.0000 0.0000 0.0000 x1
Cr 0.6667 0.3333 0.5000 x1
Ni 0.3333 0.6667 0.5000 x1

Top 12 peaks for 2θ from 10° to 90°, sorted by position:
index, 2θ (°), I/Imax
1 0 0, 24.8, 4
0 0 1, 27.6, 20
1 0 1, 37.4, 100
1 1 0, 43.8, 76
1 1 1, 52.5, 18
0 0 2, 56.9, 11
2 0 1, 58.9, 24
1 0 2, 63.0, 1
1 1 2, 74.4, 27
2 1 1, 76.2, 21
3 0 0, 80.4, 11
3 0 1, 86.9, 4

# 8
Computed X-ray powder pattern of CrSiNi6 for a wavelength of 1.5418 Å, from a structure optimized by DFT (GGA-PBE).
Peak positions follow from Bragg's law for the DFT cell and can differ from measured ones.

a b c (Å): 3.5918 3.5918 13.8091
angles (deg): 90.00 90.00 90.00
Space group I4/mmm (No. 139)
Symmetry-distinct sites (fractional):
Cr 0.0000 0.0000 0.0000 x2
Si 0.0000 0.0000 0.5000 x2
Ni 0.0000 0.0000 0.2503 x4
Ni 0.0000 0.5000 0.1234 x8

Top 12 peaks for 2θ from 10° to 90°, sorted by position:
index, 2θ (°), I/Imax
0 0 2, 12.8, 4
1 0 1, 25.6, 1
0 0 4, 25.8, 1
1 0 3, 31.6, 1
1 1 0, 35.3, 1
1 1 2, 37.7, 2
0 0 6, 39.1, 1
1 1 4, 44.3, 100
2 0 0, 50.8, 32
0 0 8, 53.1, 14
2 2 0, 74.8, 9
2 0 8, 76.6, 17

# 9
Computed X-ray powder pattern of Cr5NiSn12 for a wavelength of 1.5418 Å, from a structure optimized by DFT (GGA-PBE).
Peak positions follow from Bragg's law for the DFT cell and can differ from measured ones.

a b c (Å): 5.5867 9.4001 13.8391
angles (deg): 90.00 90.00 90.00
Space group C222 (No. 21)
Symmetry-distinct sites (fractional):
Cr 0.0000 0.0000 0.0000 x2
Cr 0.0000 0.5000 0.3300 x4
Cr 0.2500 0.2500 0.6677 x4
Ni 0.0000 0.5000 0.0000 x2
Sn 0.0000 0.0000 0.3884 x4
Sn 0.0000 0.3323 0.5000 x4
Sn 0.2492 0.4198 0.8364 x8
Sn 0.2500 0.2500 0.0533 x4
Sn 0.2500 0.2500 0.2753 x4

Top 12 peaks for 2θ from 10° to 90°, sorted by position:
index, 2θ (°), I/Imax
1 1 4, 31.9, 56
0 2 4, 32.1, 38
2 0 1, 32.7, 55
1 3 1, 33.4, 85
2 0 2, 34.6, 31
1 3 2, 35.3, 61
1 1 5, 37.5, 100
0 2 5, 37.7, 35
2 2 3, 42.4, 91
0 4 3, 43.2, 39
1 3 8, 63.7, 25
2 6 0, 68.7, 30

# 10
Computed X-ray powder pattern of CrNi6Sn for a wavelength of 1.5418 Å, from a structure optimized by DFT (GGA-PBE).
Peak positions follow from Bragg's law for the DFT cell and can differ from measured ones.

a b c (Å): 7.2664 10.3091 10.3385
angles (deg): 90.00 90.00 90.00
Space group Cmmm (No. 65)
Symmetry-distinct sites (fractional):
Cr 0.0000 0.0000 0.2443 x4
Cr 0.0000 0.2501 0.0000 x4
Ni 0.0000 0.0000 0.0000 x2
Ni 0.0000 0.0000 0.5000 x2
Ni 0.0000 0.2444 0.2400 x8
Ni 0.0000 0.5000 0.0000 x2
Ni 0.0000 0.5000 0.5000 x2
Ni 0.2413 0.1224 0.3689 x16
Ni 0.2435 0.1280 0.1196 x16
Sn 0.0000 0.2524 0.5000 x4
Sn 0.0000 0.5000 0.2461 x4

Top 12 peaks for 2θ from 10° to 90°, sorted by position:
index, 2θ (°), I/Imax
1 1 2, 22.8, 1
0 2 2, 24.4, 1
2 2 2, 34.8, 1
2 0 3, 35.9, 2
2 4 0, 43.0, 100
0 4 4, 50.0, 31
4 0 0, 50.2, 16
0 0 8, 73.2, 4
0 8 0, 73.5, 23
2 4 8, 88.9, 11
2 8 4, 89.1, 11
6 4 0, 89.4, 11

# 11
Computed X-ray powder pattern of Cr3NiSn8 for a wavelength of 1.5418 Å, from a structure optimized by DFT (GGA-PBE).
Peak positions follow from Bragg's law for the DFT cell and can differ from measured ones.

a b c (Å): 5.4786 9.5214 9.3394
angles (deg): 90.00 90.00 90.00
Space group C222 (No. 21)
Symmetry-distinct sites (fractional):
Cr 0.0000 0.0000 0.0000 x2
Cr 0.0000 0.0000 0.5000 x2
Cr 0.0000 0.5000 0.0000 x2
Ni 0.0000 0.5000 0.5000 x2
Sn 0.2465 0.4125 0.7459 x8
Sn 0.2500 0.2500 0.0864 x4
Sn 0.2500 0.2500 0.4165 x4

Top 12 peaks for 2θ from 10° to 90°, sorted by position:
index, 2θ (°), I/Imax
2 0 0, 32.7, 29
1 3 1, 34.0, 100
1 1 3, 34.4, 99
2 2 0, 37.9, 23
0 4 2, 42.7, 74
0 2 4, 43.2, 24
3 3 1, 59.2, 21
0 0 6, 59.3, 23
3 1 3, 59.5, 21
1 3 5, 59.9, 19
2 6 0, 68.3, 18
2 0 6, 69.5, 17

# 12
Computed X-ray powder pattern of TaCrNi4 for a wavelength of 1.5418 Å, from a structure optimized by DFT (GGA-PBE).
Peak positions follow from Bragg's law for the DFT cell and can differ from measured ones.

a b c (Å): 6.6804 6.6804 6.6804
angles (deg): 90.00 90.00 90.00
Space group F-43m (No. 216)
Symmetry-distinct sites (fractional):
Ta 0.0000 0.0000 0.0000 x4
Cr 0.2500 0.2500 0.2500 x4
Ni 0.1246 0.1246 0.6246 x16

Top 12 peaks for 2θ from 10° to 90°, sorted by position:
index, 2θ (°), I/Imax
1 1 1, 23.1, 17
2 0 0, 26.7, 17
2 2 0, 38.1, 46
3 1 1, 45.0, 100
2 2 2, 47.1, 26
3 3 1, 60.4, 5
4 2 0, 62.1, 7
4 2 2, 68.9, 16
5 1 1, 73.7, 29
4 4 0, 81.5, 21
5 3 1, 86.1, 4
4 4 2, 87.6, 4